For K6Ba, a cell relaxed with GGA-PBE gives the theoretical PXRD pattern in this record (Cu Kα (weighted mean of Kα1 and Kα2)).
No peak broadening, texture or thermal motion is included.

Peak list (8 most intense, 5 to 70 degrees two-theta, by intensity)
2θ (°)	intensity
20.49	100
31.53	66
16.70	41
33.77	21
53.19	21
46.87	21
37.90	20
39.83	17

Structural model:
abc: 9.194 9.194 9.194
angles: 109.47 109.47 109.47
Sites, in units of the cell vectors:
K1 0.250 0.500 0.750
K2 0.250 0.750 0.500
K3 0.500 0.250 0.750
K4 0.500 0.750 0.250
K5 0.750 0.250 0.500
K6 0.750 0.500 0.250
Ba1 0.000 0.000 0.000